For MgMn8O13F3, the GGA+U geometry in Alexandria gives the simulated XRD peak list in this record (Cu Kα, 1.54184 Å).

Structural model:
```
data_MgMn8O13F3
_space_group_name_H-M_alt 'P 1'
_space_group_IT_number 1
_cell_length_a 5.683
_cell_length_b 6.854
_cell_length_c 6.971
_cell_angle_alpha 93.83
_cell_angle_beta 93.32
_cell_angle_gamma 90.57
loop_
_space_group_symop_operation_xyz
'x,y,z'
loop_
_atom_site_label
_atom_site_type_symbol
_atom_site_fract_x
_atom_site_fract_y
_atom_site_fract_z
Mg1 Mg 0.000 0.000 0.000
Mn1 Mn 0.225 0.011 0.494
Mn2 Mn 0.234 0.506 0.993
Mn3 Mn 0.392 0.508 0.491
Mn4 Mn 0.484 0.980 0.966
Mn5 Mn 0.720 0.263 0.750
Mn6 Mn 0.731 0.737 0.227
Mn7 Mn 0.912 0.276 0.265
Mn8 Mn 0.949 0.739 0.721
O1 O 0.185 0.732 0.533
O2 O 0.187 0.283 0.440
O3 O 0.220 0.789 0.923
O4 O 0.463 0.540 0.215
O5 O 0.465 0.455 0.766
O6 O 0.482 0.052 0.704
O7 O 0.498 0.936 0.231
O8 O 0.732 0.193 0.012
O9 O 0.735 0.798 0.943
O10 O 0.962 0.029 0.703
O11 O 0.971 0.532 0.188
O12 O 0.971 0.985 0.283
O13 O 0.976 0.467 0.785
F1 F 0.248 0.197 0.027
F2 F 0.677 0.304 0.475
F3 F 0.691 0.697 0.519
```

Peak list (10 most intense, 5 to 70 degrees two-theta, in order of rising 2θ)
| (hkl) | 2θ (°) | intensity |
| --- | --- | --- |
| -1 1 1 | 23.9 | 100 |
| 1 1 1 | 25.1 | 83 |
| 1 0 -2 | 29.4 | 79 |
| 1 -2 0 | 30.3 | 68 |
| 1 2 0 | 30.7 | 78 |
| 1 0 2 | 31.0 | 74 |
| 0 2 -2 | 35.6 | 46 |
| 2 1 -1 | 35.8 | 47 |
| 0 0 4 | 52.7 | 45 |
| -2 3 1 | 53.1 | 56 |